1.
For La6PmEr4, a GGA-PBE-relaxed structure gives the calculated powder diffractogram in this record (a wavelength of 1.5418 Å).
Lines closer than 0.1° are merged.

Principal peaks in the range 5 to 70 degrees two-theta, most intense first:
2θ (°)	I (rel.)
31.1	100
30.3	67
29.6	59
32.4	57
29.9	47
43.1	35
31.3	23
56.0	21

Structure:
```
data_La6PmEr4
_chemical_formula_sum 'La24 Pm4 Er16'
_symmetry_space_group_name_H-M 'C m c m'
_symmetry_Int_Tables_number 63
_symmetry_space_group_name_Hall '-C 2c 2'
_cell_length_a 5.8971
_cell_length_b 9.8754
_cell_length_c 26.3449
_cell_angle_alpha 90.00
_cell_angle_beta 90.00
_cell_angle_gamma 90.00
loop_
_atom_site_label
_atom_site_type_symbol
_atom_site_fract_x
_atom_site_fract_y
_atom_site_fract_z
La1 La 0.0000 0.0000 0.0000
La2 La 0.0000 0.0367 0.2500
La3 La 0.0000 0.3121 0.5959
La4 La 0.0000 0.3631 0.1810
Pm1 Pm 0.0000 0.3026 0.7500
Er1 Er 0.0000 0.0280 0.1247
Er2 Er 0.0000 0.3433 0.0457
```

***

2.
For La3Pm3Er4, a GGA-PBE-relaxed structure gives the calculated powder diffractogram in this record (a wavelength of 1.5418 Å).
Lines closer than 0.1° are merged.

Principal peaks in the range 5 to 70 degrees two-theta, most intense first:
2θ (°)	I (rel.)
32.0	100
29.0	61
30.6	31
54.2	21
38.2	20
33.2	19
56.8	18
58.7	17

Structure:
```
data_La3Pm3Er4
_chemical_formula_sum 'La6 Pm6 Er8'
_symmetry_space_group_name_H-M 'A m m 2'
_symmetry_Int_Tables_number 38
_symmetry_space_group_name_Hall 'A 2 -2'
_cell_length_a 3.6586
_cell_length_b 13.7609
_cell_length_c 13.7666
_cell_angle_alpha 90.00
_cell_angle_beta 90.00
_cell_angle_gamma 90.00
loop_
_atom_site_label
_atom_site_type_symbol
_atom_site_fract_x
_atom_site_fract_y
_atom_site_fract_z
La1 La 0.0000 0.0000 0.0000
La2 La 0.5000 0.2483 0.5756
Pm1 Pm 0.0000 0.0000 0.6496
Pm2 Pm 0.0000 0.1743 0.3251
Er1 Er 0.5000 0.0000 0.2050
Er2 Er 0.5000 0.0000 0.4463
Er3 Er 0.5000 0.1218 0.8225
```

***

3.
For La2Pm7Er4, a GGA-PBE-relaxed structure gives the calculated powder diffractogram in this record (a wavelength of 1.5418 Å).
Lines closer than 0.1° are merged.

Principal peaks in the range 5 to 70 degrees two-theta, most intense first:
2θ (°)	I (rel.)
30.2	100
30.9	70
30.0	69
32.2	63
34.8	37
26.1	36
34.1	34
31.7	25

Structure:
```
data_La2Pm7Er4
_chemical_formula_sum 'La2 Pm7 Er4'
_symmetry_space_group_name_H-M 'P -1'
_symmetry_Int_Tables_number 2
_symmetry_space_group_name_Hall '-P 1'
_cell_length_a 6.3585
_cell_length_b 8.5101
_cell_length_c 8.6506
_cell_angle_alpha 74.09
_cell_angle_beta 86.42
_cell_angle_gamma 85.30
loop_
_atom_site_label
_atom_site_type_symbol
_atom_site_fract_x
_atom_site_fract_y
_atom_site_fract_z
La1 La 0.0725 0.4880 0.2690
Pm1 Pm 0.1080 0.1260 0.5894
Pm2 Pm 0.1519 0.8423 0.9611
Pm3 Pm 0.3855 0.6948 0.5560
Pm4 Pm 0.5000 0.5000 0.0000
Er1 Er 0.3504 0.0819 0.2393
Er2 Er 0.3780 0.2413 0.8348
```

***

4.
For La12PmEr7, a GGA-PBE-relaxed structure gives the calculated powder diffractogram in this record (a wavelength of 1.5418 Å).
Lines closer than 0.1° are merged.

Principal peaks in the range 5 to 70 degrees two-theta, most intense first:
2θ (°)	I (rel.)
30.4	100
32.1	66
31.9	44
30.3	27
30.0	27
53.0	26
28.4	19
33.4	16

Structure:
```
data_La12PmEr7
_chemical_formula_sum 'La36 Pm3 Er21'
_symmetry_space_group_name_H-M 'R -3'
_symmetry_Int_Tables_number 148
_symmetry_space_group_name_Hall '-R 3'
_cell_length_a 12.4664
_cell_length_b 12.4664
_cell_length_c 15.4684
_cell_angle_alpha 90.00
_cell_angle_beta 90.00
_cell_angle_gamma 120.00
loop_
_atom_site_label
_atom_site_type_symbol
_atom_site_fract_x
_atom_site_fract_y
_atom_site_fract_z
La1 La 0.0120 0.4378 0.2207
La2 La 0.0657 0.5967 0.5787
Pm1 Pm 0.0000 0.0000 0.5000
Er1 Er 0.0000 0.0000 0.0000
Er2 Er 0.0507 0.1834 0.3071
```

***

5.
For La7Pm4Er, a GGA-PBE-relaxed structure gives the calculated powder diffractogram in this record (a wavelength of 1.5418 Å).
Lines closer than 0.1° are merged.

Principal peaks in the range 5 to 70 degrees two-theta, most intense first:
2θ (°)	I (rel.)
30.8	100
32.5	55
29.9	50
58.5	30
32.4	29
49.0	25
27.9	23
52.6	16

Structure:
```
data_La7Pm4Er
_chemical_formula_sum 'La7 Pm4 Er1'
_symmetry_space_group_name_H-M 'P -1'
_symmetry_Int_Tables_number 2
_symmetry_space_group_name_Hall '-P 1'
_cell_length_a 6.4499
_cell_length_b 7.4112
_cell_length_c 9.2137
_cell_angle_alpha 90.08
_cell_angle_beta 103.44
_cell_angle_gamma 90.01
loop_
_atom_site_label
_atom_site_type_symbol
_atom_site_fract_x
_atom_site_fract_y
_atom_site_fract_z
La1 La 0.0000 0.0000 0.0000
La2 La 0.2195 0.4992 0.6678
La3 La 0.2803 0.7498 0.3319
La4 La 0.5000 0.2519 0.0008
Pm1 Pm 0.2228 0.9999 0.6677
Pm2 Pm 0.2771 0.2501 0.3284
Er1 Er 0.0000 0.5000 0.0000
```

***

6.
For La10PmEr4, a GGA-PBE-relaxed structure gives the calculated powder diffractogram in this record (a wavelength of 1.5418 Å).
Lines closer than 0.1° are merged.

Principal peaks in the range 5 to 70 degrees two-theta, most intense first:
2θ (°)	I (rel.)
30.9	100
31.4	98
27.2	48
30.0	40
56.2	31
40.1	29
44.2	29
33.3	28

Structure:
```
data_La10PmEr4
_chemical_formula_sum 'La20 Pm2 Er8'
_symmetry_space_group_name_H-M 'I 4/m m m'
_symmetry_Int_Tables_number 139
_symmetry_space_group_name_Hall '-I 4 2'
_cell_length_a 11.5828
_cell_length_b 11.5828
_cell_length_c 7.9402
_cell_angle_alpha 90.00
_cell_angle_beta 90.00
_cell_angle_gamma 90.00
loop_
_atom_site_label
_atom_site_type_symbol
_atom_site_fract_x
_atom_site_fract_y
_atom_site_fract_z
La1 La 0.0000 0.2184 0.2099
La2 La 0.0000 0.5000 0.2500
Pm1 Pm 0.0000 0.0000 0.5000
Er1 Er 0.2300 0.2300 0.5000
```

***

7.
For La5Pm6Er, a GGA-PBE-relaxed structure gives the calculated powder diffractogram in this record (a wavelength of 1.5418 Å).
Lines closer than 0.1° are merged.

Principal peaks in the range 5 to 70 degrees two-theta, most intense first:
2θ (°)	I (rel.)
29.8	100
34.5	68
58.9	53
49.6	48
29.8	33
61.8	12
59.0	5
61.9	4

Structure:
```
data_La5Pm6Er
_chemical_formula_sum 'La10 Pm12 Er2'
_symmetry_space_group_name_H-M 'C 1 2/m 1'
_symmetry_Int_Tables_number 12
_symmetry_space_group_name_Hall '-C 2y'
_cell_length_a 6.3706
_cell_length_b 11.0377
_cell_length_c 12.1818
_cell_angle_alpha 90.00
_cell_angle_beta 100.13
_cell_angle_gamma 90.00
loop_
_atom_site_label
_atom_site_type_symbol
_atom_site_fract_x
_atom_site_fract_y
_atom_site_fract_z
La1 La 0.0000 0.0000 0.0000
La2 La 0.0000 0.1669 0.5000
La3 La 0.0000 0.3335 0.0000
Pm1 Pm 0.2483 0.3341 0.7483
Pm2 Pm 0.2492 0.5000 0.2517
Er1 Er 0.0000 0.5000 0.5000
```

***

8.
For La5Pm2Er4, a GGA-PBE-relaxed structure gives the calculated powder diffractogram in this record (a wavelength of 1.5418 Å).
Lines closer than 0.1° are merged.

Principal peaks in the range 5 to 70 degrees two-theta, most intense first:
2θ (°)	I (rel.)
29.9	100
30.2	98
34.5	34
34.7	34
35.3	32
59.0	29
49.7	24
50.2	24

Structure:
```
data_La5Pm2Er4
_chemical_formula_sum 'La10 Pm4 Er8'
_symmetry_space_group_name_H-M 'C 1 2/m 1'
_symmetry_Int_Tables_number 12
_symmetry_space_group_name_Hall '-C 2y'
_cell_length_a 18.4420
_cell_length_b 5.1967
_cell_length_c 8.1001
_cell_angle_alpha 90.00
_cell_angle_beta 104.04
_cell_angle_gamma 90.00
loop_
_atom_site_label
_atom_site_type_symbol
_atom_site_fract_x
_atom_site_fract_y
_atom_site_fract_z
La1 La 0.0000 0.0000 0.0000
La2 La 0.1364 0.5000 0.1772
La3 La 0.2275 0.5000 0.6398
Pm1 Pm 0.0908 0.0000 0.4586
Er1 Er 0.0437 0.5000 0.7227
Er2 Er 0.1803 0.0000 0.9061
```

***

9.
For LaPm2Er2, a GGA-PBE-relaxed structure gives the calculated powder diffractogram in this record (a wavelength of 1.5418 Å).
Lines closer than 0.1° are merged.

Principal peaks in the range 5 to 70 degrees two-theta, most intense first:
2θ (°)	I (rel.)
30.3	100
30.1	98
32.8	83
29.6	60
28.2	52
31.4	50
31.2	40
59.5	26

Structure:
```
data_LaPm2Er2
_chemical_formula_sum 'La4 Pm8 Er8'
_symmetry_space_group_name_H-M 'C 1 2/c 1'
_symmetry_Int_Tables_number 15
_symmetry_space_group_name_Hall '-C 2yc'
_cell_length_a 9.2262
_cell_length_b 8.7051
_cell_length_c 9.5094
_cell_angle_alpha 90.00
_cell_angle_beta 118.22
_cell_angle_gamma 90.00
loop_
_atom_site_label
_atom_site_type_symbol
_atom_site_fract_x
_atom_site_fract_y
_atom_site_fract_z
La1 La 0.0000 0.0727 0.2500
Pm1 Pm 0.2053 0.4269 0.3384
Er1 Er 0.0409 0.2962 0.9530
```

***

10.
For LaPm4Er2, a GGA-PBE-relaxed structure gives the calculated powder diffractogram in this record (a wavelength of 1.5418 Å).
Lines closer than 0.1° are merged.

Principal peaks in the range 5 to 70 degrees two-theta, most intense first:
2θ (°)	I (rel.)
29.8	100
31.1	83
30.2	80
33.2	60
54.7	37
27.9	36
34.9	29
33.6	25

Structure:
```
data_LaPm4Er2
_chemical_formula_sum 'La4 Pm16 Er8'
_symmetry_space_group_name_H-M 'I m m a'
_symmetry_Int_Tables_number 74
_symmetry_space_group_name_Hall '-I 2b 2'
_cell_length_a 6.9127
_cell_length_b 11.5122
_cell_length_c 12.2194
_cell_angle_alpha 90.00
_cell_angle_beta 90.00
_cell_angle_gamma 90.00
loop_
_atom_site_label
_atom_site_type_symbol
_atom_site_fract_x
_atom_site_fract_y
_atom_site_fract_z
La1 La 0.0000 0.0000 0.0000
Pm1 Pm 0.0000 0.0066 0.3546
Pm2 Pm 0.2189 0.2500 0.5102
Er1 Er 0.0000 0.2500 0.7786
Er2 Er 0.2500 0.2500 0.2500
```

***

11.
For LaPm3Er8, a GGA-PBE-relaxed structure gives the calculated powder diffractogram in this record (a wavelength of 1.5418 Å).
Lines closer than 0.1° are merged.

Principal peaks in the range 5 to 70 degrees two-theta, most intense first:
2θ (°)	I (rel.)
31.5	100
32.2	78
31.3	77
35.9	49
56.3	34
65.8	30
51.8	25
35.1	24

Structure:
```
data_LaPm3Er8
_chemical_formula_sum 'La2 Pm6 Er16'
_symmetry_space_group_name_H-M 'I m m m'
_symmetry_Int_Tables_number 71
_symmetry_space_group_name_Hall '-I 2 2'
_cell_length_a 6.3715
_cell_length_b 11.4145
_cell_length_c 11.4289
_cell_angle_alpha 90.00
_cell_angle_beta 90.00
_cell_angle_gamma 90.00
loop_
_atom_site_label
_atom_site_type_symbol
_atom_site_fract_x
_atom_site_fract_y
_atom_site_fract_z
La1 La 0.0000 0.0000 0.0000
Pm1 Pm 0.0000 0.2471 0.5000
Pm2 Pm 0.0000 0.5000 0.0000
Er1 Er 0.0000 0.2506 0.1735
Er2 Er 0.2485 0.0000 0.2530
```

***

12.
For LaPmEr4, a GGA-PBE-relaxed structure gives the calculated powder diffractogram in this record (a wavelength of 1.5418 Å).
Lines closer than 0.1° are merged.

Principal peaks in the range 5 to 70 degrees two-theta, most intense first:
2θ (°)	I (rel.)
30.7	100
35.5	34
60.7	29
51.2	24
35.6	17
60.9	14
63.8	12
51.1	12

Structure:
```
data_LaPmEr4
_chemical_formula_sum 'La2 Pm2 Er8'
_symmetry_space_group_name_H-M 'C 1 2/m 1'
_symmetry_Int_Tables_number 12
_symmetry_space_group_name_Hall '-C 2y'
_cell_length_a 11.3051
_cell_length_b 5.0397
_cell_length_c 7.1587
_cell_angle_alpha 90.00
_cell_angle_beta 108.47
_cell_angle_gamma 90.00
loop_
_atom_site_label
_atom_site_type_symbol
_atom_site_fract_x
_atom_site_fract_y
_atom_site_fract_z
La1 La 0.0000 0.0000 0.0000
Pm1 Pm 0.0000 0.0000 0.5000
Er1 Er 0.1676 0.5000 0.8324
Er2 Er 0.1694 0.5000 0.3358
```

***

13.
For La5Pm4Er4, a GGA-PBE-relaxed structure gives the calculated powder diffractogram in this record (a wavelength of 1.5418 Å).
Lines closer than 0.1° are merged.

Principal peaks in the range 5 to 70 degrees two-theta, most intense first:
2θ (°)	I (rel.)
30.0	100
34.7	34
59.4	29
50.1	24
34.9	17
59.6	14
62.4	12
49.9	12

Structure:
```
data_La5Pm4Er4
_chemical_formula_sum 'La10 Pm8 Er8'
_symmetry_space_group_name_H-M 'I 4/m'
_symmetry_Int_Tables_number 87
_symmetry_space_group_name_Hall '-I 4'
_cell_length_a 13.1723
_cell_length_b 13.1723
_cell_length_c 5.1395
_cell_angle_alpha 90.00
_cell_angle_beta 90.00
_cell_angle_gamma 90.00
loop_
_atom_site_label
_atom_site_type_symbol
_atom_site_fract_x
_atom_site_fract_y
_atom_site_fract_z
La1 La 0.0000 0.0000 0.0000
La2 La 0.0406 0.8080 0.5000
Pm1 Pm 0.0766 0.6153 0.0000
Er1 Er 0.1552 0.2337 0.0000
```